The following is a computed XRD peak list of Rb3NiO3. It was derived from a GGA+U-relaxed structure, using a wavelength of 1.5418 Å.
Lines closer than 0.1° are merged.

Atomic structure:
Cell lengths 8.159, 8.159, 5.717 Å; angles 90.00, 90.00, 120.00 degrees
Atoms (fractional coordinates):
Rb 0.095 0.369 0.250
Rb 0.275 0.905 0.250
Rb 0.369 0.275 0.750
Rb 0.631 0.725 0.250
Rb 0.725 0.095 0.750
Rb 0.905 0.631 0.750
Ni 0.333 0.667 0.750
Ni 0.667 0.333 0.250
O 0.130 0.433 0.750
O 0.303 0.870 0.750
O 0.433 0.303 0.250
O 0.567 0.697 0.750
O 0.697 0.130 0.250
O 0.870 0.567 0.250

The 10 most intense peaks (5° ≤ 2θ ≤ 70°), by intensity:
(hkl)  2θ/deg  d (Å)  I (rel.)
2 0 1  29.73  3.005  100
1 1 1  26.85  3.321  80
1 2 0  33.56  2.671  68
0 0 2  31.29  2.859  65
1 2 2  46.54  1.951  51
2 3 1  59.25  1.560  25
1 0 0  12.53  7.066  24
2 0 0  25.21  3.533  21
2 0 3  54.73  1.677  18
3 0 0  38.21  2.355  18